Simulated powder X-ray diffraction pattern
Compound: Rb2UCl5
Radiation: CuKα
Structure: a structure optimized by DFT (PBE)
Lines closer than 0.1° are merged.

Structural model:
```
Rb2UCl5
1.0
13.4962 0.0000 0.0000
0.0000 9.0043 0.0000
0.0000 0.0000 8.3880
Rb U Cl
8 4 20
Cartesian
2.3026 0.0329 0.4261 Rb
2.3026 4.4693 0.4261 Rb
4.4455 4.5351 4.6201 Rb
4.4455 8.9714 4.6201 Rb
9.0507 0.0329 3.7679 Rb
9.0507 4.4693 3.7679 Rb
11.1936 4.5351 7.9619 Rb
11.1936 8.9714 7.9619 Rb
0.0266 2.2511 4.7396 U
6.7215 6.7532 0.5456 U
6.7747 2.2511 7.8424 U
13.4696 6.7532 3.6484 U
0.1377 2.2511 7.5787 Cl
1.0093 4.8608 5.5180 Cl
1.0093 8.6457 5.5180 Cl
2.3287 2.2511 3.1647 Cl
2.6537 6.7532 2.8858 Cl
4.0944 2.2511 7.0798 Cl
4.4194 6.7532 7.3587 Cl
5.7388 0.3587 1.3240 Cl
5.7388 4.1435 1.3240 Cl
6.6104 6.7532 3.3847 Cl
6.8858 2.2511 5.0033 Cl
7.7574 4.8608 7.0641 Cl
7.7574 8.6457 7.0641 Cl
9.0768 2.2511 1.0293 Cl
9.4018 6.7532 1.3082 Cl
10.8425 2.2511 5.5022 Cl
11.1675 6.7532 5.2233 Cl
12.4869 0.3587 2.8700 Cl
12.4869 4.1435 2.8700 Cl
13.3585 6.7532 0.8093 Cl
```

Principal peaks in the range 2θ = 5–70°, by angle:
Position (°2θ)	I/Imax
12.4	83
13.1	41
21.2	38
22.4	87
23.4	100
23.8	59
32.0	56
33.2	43
36.2	37
40.1	49
40.4	47
46.4	45

Simulated powder X-ray diffraction pattern
Compound: Rb2UCl7
Radiation: CuKα
Structure: a structure optimized by DFT (PBE)
Lines closer than 0.1° are merged.

Structural model:
```
Rb2UCl7
1.0
8.7583 -4.3945 0.0000
8.7583 4.3945 0.0000
-7.8845 0.0000 9.4619
Rb U Cl
4 2 14
Cartesian
1.0928 0.5961 2.8251 Rb
-2.8495 -0.5961 7.5561 Rb
12.4815 0.5961 1.9058 Rb
8.5393 -0.5961 6.6368 Rb
6.7872 1.0854 2.3655 U
2.8449 -1.0854 7.0964 U
6.7872 3.7218 2.3655 Cl
4.2424 1.6828 2.1027 Cl
1.6734 1.1161 6.0371 Cl
-0.5460 1.3800 9.3472 Cl
6.2358 1.3800 4.8457 Cl
9.3319 1.6828 2.6282 Cl
4.0164 1.1161 8.1558 Cl
5.6157 -1.1161 1.3061 Cl
0.3002 -1.6828 6.8337 Cl
3.3963 -1.3800 4.6162 Cl
10.1781 -1.3800 0.1147 Cl
7.9586 -1.1161 3.4248 Cl
5.3896 -1.6828 7.3592 Cl
2.8449 -3.7218 7.0964 Cl
```

Principal peaks in the range 2θ = 5–70°, by angle:
Position (°2θ)	I/Imax
12.0	84
12.4	69
14.4	59
18.5	66
18.8	98
19.2	92
22.3	100
31.0	56
31.3	36
34.4	54
35.0	33
45.6	34

Simulated powder X-ray diffraction pattern
Compound: RbUVCl6
Radiation: CuKα
Structure: a structure optimized by DFT (PBE)
Lines closer than 0.1° are merged.

Structural model:
```
RbUVCl6
1.0
6.8135 0.0000 0.0000
-3.4068 5.9007 0.0000
0.0000 0.0000 14.8003
Rb U V Cl
2 2 2 12
Cartesian
0.0000 0.0000 0.0000 Rb
0.0000 0.0000 7.4002 Rb
0.0000 3.9338 3.7001 U
3.4068 1.9669 11.1003 U
0.0000 3.9338 11.1003 V
3.4068 1.9669 3.7001 V
-1.1013 2.2388 9.6159 Cl
-2.0186 3.8275 12.5846 Cl
1.1013 2.2388 12.5846 Cl
-0.9173 5.7351 9.6159 Cl
2.4895 0.1656 2.2157 Cl
1.3882 2.0732 5.1845 Cl
2.0186 3.8275 9.6159 Cl
0.9173 5.7351 12.5846 Cl
4.3240 0.1656 5.1845 Cl
2.3054 3.6619 2.2157 Cl
5.4254 2.0732 2.2157 Cl
4.5081 3.6619 5.1845 Cl
```

Principal peaks in the range 2θ = 5–70°, by angle:
Position (°2θ)	I/Imax
12.0	60
16.2	45
19.2	100
23.5	28
26.2	29
28.9	37
30.9	17
32.7	22
35.8	80
42.3	25
46.2	26
56.6	17

Simulated powder X-ray diffraction pattern
Compound: Rb2V3Cl10
Radiation: CuKα
Structure: a structure optimized by DFT (PBE)
Lines closer than 0.1° are merged.

Structural model:
```
Rb2V3Cl10
1.0
11.5541 -3.6228 0.0000
11.5541 3.6228 0.0000
-3.6051 0.0000 9.0093
Rb V Cl
4 6 20
Cartesian
2.0068 0.0000 2.0959 Rb
2.3332 0.0000 7.3179 Rb
17.1700 0.0000 1.6914 Rb
17.4964 0.0000 6.9134 Rb
9.7516 1.8239 4.5047 V
5.7594 0.0000 4.3248 V
9.6835 0.0000 0.2442 V
9.8197 0.0000 8.7651 V
13.7438 0.0000 4.6845 V
9.7516 -1.8239 4.5047 V
3.9745 1.8114 4.5047 Cl
-1.9952 0.0000 6.0987 Cl
8.1942 1.7321 0.3901 Cl
7.3378 1.8089 4.2503 Cl
5.4394 0.0000 2.0454 Cl
11.5541 1.5801 0.0000 Cl
12.1654 1.8089 4.7590 Cl
5.7805 0.0000 6.7992 Cl
11.3089 1.7321 8.6192 Cl
9.9544 0.0000 2.8326 Cl
3.9745 -1.8114 4.5047 Cl
9.5488 0.0000 6.1768 Cl
8.1942 -1.7321 0.3901 Cl
13.7227 0.0000 2.2102 Cl
7.3378 -1.8089 4.2503 Cl
11.5541 -1.5801 0.0000 Cl
14.0638 0.0000 6.9639 Cl
12.1654 -1.8089 4.7590 Cl
11.3089 -1.7321 8.6192 Cl
21.4984 0.0000 2.9106 Cl
```

Principal peaks in the range 2θ = 5–70°, by angle:
Position (°2θ)	I/Imax
22.2	60
22.6	28
23.1	38
31.0	31
31.7	78
33.4	26
33.9	34
34.0	100
40.6	27
50.4	24
52.2	40
54.0	22

Simulated powder X-ray diffraction pattern
Compound: Rb2V3Cl9
Radiation: CuKα
Structure: a structure optimized by DFT (PBE)
Lines closer than 0.1° are merged.

Structural model:
```
Rb2V3Cl9
1.0
5.3755 -8.5750 0.0000
5.3755 8.5750 0.0000
-4.5591 0.0000 8.8275
Rb V Cl
4 6 18
Cartesian
1.1690 5.8313 6.1471 Rb
5.0228 5.8313 2.6805 Rb
1.1690 -5.8313 6.1471 Rb
5.0228 -5.8313 2.6805 Rb
-0.0719 1.6797 7.4044 V
3.3463 0.0000 1.2782 V
-0.0719 -1.6797 7.4044 V
6.2636 1.6797 1.4231 V
2.8455 0.0000 7.5493 V
6.2636 -1.6797 1.4231 V
-0.9557 3.3451 5.9367 Cl
-2.0997 1.7010 8.6735 Cl
-0.9947 0.0000 5.9916 Cl
1.3496 0.0000 2.5112 Cl
5.3755 3.3941 0.0000 Cl
-2.0997 -1.7010 8.6735 Cl
1.9376 1.6833 6.1565 Cl
-0.9557 -3.3451 5.9367 Cl
4.2542 1.6833 2.6710 Cl
1.9376 -1.6833 6.1565 Cl
7.1475 3.3451 2.8908 Cl
4.2542 -1.6833 2.6710 Cl
8.2915 1.7010 0.1540 Cl
5.3755 -3.3941 0.0000 Cl
4.8422 0.0000 6.3164 Cl
7.1865 0.0000 2.8359 Cl
8.2915 -1.7010 0.1540 Cl
7.1475 -3.3451 2.8908 Cl
```

Principal peaks in the range 2θ = 5–70°, by angle:
Position (°2θ)	I/Imax
11.3	57
18.1	46
19.6	38
20.1	78
23.7	72
30.4	39
30.9	82
32.6	100
34.4	31
37.0	62
41.0	48
50.9	31

Simulated powder X-ray diffraction pattern
Compound: RbV2ZnCl8
Radiation: CuKα
Structure: a structure optimized by DFT (PBE)
Lines closer than 0.1° are merged.

Structural model:
```
RbV2ZnCl8
1.0
6.7169 0.0000 0.0000
0.6500 7.0120 0.0000
0.0290 0.0251 7.3051
Rb V Zn Cl
1 2 1 8
Cartesian
0.0000 0.0000 0.0000 Rb
3.6908 3.5121 1.8551 V
3.7051 3.5249 5.4500 V
0.0145 0.0125 3.6526 Zn
2.1719 2.9189 0.0077 Cl
2.1904 2.9170 3.6608 Cl
2.8704 5.6321 1.8442 Cl
2.8852 5.6449 5.4527 Cl
4.5108 1.3922 1.8525 Cl
4.5256 1.4050 5.4609 Cl
5.2056 4.1200 3.6443 Cl
5.2241 4.1182 7.2975 Cl
```

Principal peaks in the range 2θ = 5–70°, by angle:
Position (°2θ)	I/Imax
17.5	100
19.2	41
25.4	20
27.6	34
27.8	69
31.2	45
37.7	44
37.9	43
38.9	23
42.1	30
49.9	18
59.0	20

Simulated powder X-ray diffraction pattern
Compound: RbW3Cl9
Radiation: CuKα
Structure: a structure optimized by DFT (PBE)
Lines closer than 0.1° are merged.

Structural model:
```
RbW3Cl9
1.0
9.6847 0.0000 0.0000
-4.8424 8.3872 0.0000
0.0000 0.0000 8.6346
Rb W Cl
2 6 18
Cartesian
0.0000 5.5915 0.0258 Rb
4.8424 2.7957 8.6088 Rb
-3.9683 6.9005 5.3744 W
0.8505 1.5003 5.3744 W
1.7246 0.0136 3.2602 W
3.1178 8.3736 5.3744 W
3.9919 6.8869 3.2602 W
8.8106 1.4867 3.2602 W
-3.8754 6.7433 1.6384 Cl
-2.9563 5.1720 6.8909 Cl
0.9402 1.6594 1.6384 Cl
1.9072 0.0155 6.9962 Cl
-0.0306 3.4738 4.3195 Cl
-1.8187 6.6768 4.3195 Cl
1.8414 3.2409 6.8909 Cl
3.7274 0.0258 1.7437 Cl
2.9931 1.7633 4.3151 Cl
1.8493 6.6238 4.3195 Cl
1.1149 8.3614 6.8909 Cl
3.0009 5.1463 1.7437 Cl
6.6611 1.7104 4.3151 Cl
4.8729 4.9134 4.3151 Cl
2.9352 8.3717 1.6384 Cl
3.9022 6.7278 6.9962 Cl
7.7987 3.2152 1.7437 Cl
8.7177 1.6439 6.9962 Cl
```

Principal peaks in the range 2θ = 5–70°, by angle:
Position (°2θ)	I/Imax
10.2	38
10.5	100
14.7	59
21.0	12
28.1	11
33.7	9
35.1	39
38.7	13
42.4	18
42.8	21
43.3	10
44.2	11

Simulated powder X-ray diffraction pattern
Compound: Rb3WCl7
Radiation: CuKα
Structure: a structure optimized by DFT (PBE)
Lines closer than 0.1° are merged.

Structural model:
```
Rb3WCl7
1.0
5.3057 -7.8113 0.0000
5.3057 7.8113 0.0000
0.0000 0.0000 9.4782
Rb W Cl
6 2 14
Cartesian
0.0427 0.0000 0.0000 Rb
2.8266 3.5600 2.3753 Rb
2.8266 -3.5600 7.1028 Rb
7.7848 3.5600 2.3637 Rb
7.7848 -3.5600 7.1144 Rb
10.5688 0.0000 4.7391 Rb
5.3044 0.0000 0.0000 W
5.3071 0.0000 4.7391 W
5.3057 5.6242 7.1086 Cl
5.3057 5.5123 2.3695 Cl
3.6203 1.6047 9.0524 Cl
3.6295 1.6063 5.1701 Cl
3.6203 -1.6047 0.4257 Cl
3.6295 -1.6063 4.3081 Cl
5.3057 0.8000 2.3695 Cl
5.3057 -0.8000 7.1086 Cl
6.9820 1.6063 9.0471 Cl
6.9911 1.6047 5.1648 Cl
6.9820 -1.6063 0.4310 Cl
6.9911 -1.6047 4.3134 Cl
5.3057 -5.5123 7.1086 Cl
5.3057 -5.6242 2.3695 Cl
```

Principal peaks in the range 2θ = 5–70°, by angle:
Position (°2θ)	I/Imax
10.1	59
11.3	24
20.2	100
21.3	24
21.9	95
25.2	24
30.5	19
34.2	76
38.0	20
38.5	27
40.7	27
43.4	28

Simulated powder X-ray diffraction pattern
Compound: Rb3Y2Cl9
Radiation: CuKα
Structure: a structure optimized by DFT (PBE)
Lines closer than 0.1° are merged.

Structural model:
```
Rb3Y2Cl9
1.0
6.5485 3.7808 6.1718
-6.5485 3.7808 6.1718
0.0000 -7.5616 6.1718
Rb Y Cl
6 4 18
Cartesian
-4.3694 -0.0064 7.7147 Rb
-2.1792 -3.7872 10.8006 Rb
2.1902 -3.7808 7.7147 Rb
-2.1902 3.7808 10.8006 Rb
2.1792 3.7872 7.7147 Rb
4.3694 0.0064 10.8006 Rb
0.0000 0.0000 2.7409 Y
0.0000 0.0000 6.5167 Y
0.0000 0.0000 11.9986 Y
0.0000 0.0000 15.7744 Y
-1.2654 -5.6294 7.7976 Cl
-5.5079 -1.7189 10.7177 Cl
-2.0102 0.0000 4.6288 Cl
-1.2654 -1.9321 7.6318 Cl
1.0051 -1.7409 4.6288 Cl
-4.2425 3.9106 7.7976 Cl
1.0051 1.7409 4.6288 Cl
-2.3060 0.1298 10.8835 Cl
-1.0406 2.0619 7.6318 Cl
1.0406 -2.0619 10.8835 Cl
2.3060 -0.1298 7.6318 Cl
-1.0051 -1.7409 13.8865 Cl
4.2426 -3.9106 10.7177 Cl
-1.0051 1.7409 13.8865 Cl
1.2654 1.9321 10.8835 Cl
2.0102 0.0000 13.8865 Cl
5.5079 1.7189 7.7976 Cl
1.2654 5.6294 10.7177 Cl
```

Principal peaks in the range 2θ = 5–70°, by angle:
Position (°2θ)	I/Imax
13.5	17
19.8	18
20.7	13
23.5	45
28.9	16
30.9	100
32.1	17
40.2	34
47.1	11
48.1	29
52.5	23
58.3	16